# CsCoHgF6
Computed X-ray powder pattern, λ = 1.5418 Å (Cu Kα). Input: a DFT-relaxed cell (PBE+U, Alexandria).

Structural model:
```
data_CsCoHgF6
_chemical_formula_sum 'Cs4 Co4 Hg4 F24'
_cell_length_a 7.4582
_cell_length_b 7.7964
_cell_length_c 10.3270
_cell_angle_alpha 90.00
_cell_angle_beta 90.00
_cell_angle_gamma 90.00
_space_group_name_H-M_alt 'I m m a'
_space_group_IT_number 74
_space_group_name_Hall '-I 2b 2'
loop_
_atom_site_label
_atom_site_type_symbol
_atom_site_fract_x
_atom_site_fract_y
_atom_site_fract_z
Cs1 Cs 0.0000 0.2500 0.1012
Co1 Co 0.2500 0.2500 0.7500
Hg1 Hg 0.0000 0.0000 0.5000
F1 F 0.0000 0.2500 0.3952
F2 F 0.0000 0.2500 0.7074
F3 F 0.2278 0.0812 0.8762
```

Peak list (8 most intense, 2θ from 10° to 80°, by angle)
Position (°2θ)	I (rel.)	hkl
14.7	30	1 0 1
23.9	45	2 0 0
27.2	100	1 2 1
27.9	31	2 1 1
28.7	32	0 2 2
29.5	43	2 0 2
44.1	31	3 2 1
48.9	60	4 0 0